[1]
Nd4Te3O: calculated X-ray powder pattern (CuKα), based on the GGA-PBE geometry in Alexandria.

Largest 10 diffraction maxima, low angle first, 10° ≤ 2θ ≤ 90°:
- (2 1 0), 4.335 Å, 2θ 20.49, intensity 48
- (0 2 0), 4.114 Å, 2θ 21.60, intensity 41
- (0 0 2), 3.149 Å, 2θ 28.34, intensity 100
- (2 2 1), 2.855 Å, 2θ 31.34, intensity 69
- (4 0 0), 2.550 Å, 2θ 35.20, intensity 50
- (0 3 1), 2.515 Å, 2θ 35.71, intensity 43
- (0 2 2), 2.501 Å, 2θ 35.90, intensity 22
- (2 3 0), 2.418 Å, 2θ 37.19, intensity 33
- (3 1 2), 2.225 Å, 2θ 40.54, intensity 20
- (4 0 2), 1.982 Å, 2θ 45.78, intensity 28

Structural model:
```
data_Nd4Te3O
_chemical_formula_sum 'Nd8 Te6 O2'
_space_group_name_H-M_alt 'P m n 21'
_space_group_IT_number 31
_space_group_name_Hall 'P 2ac -2'
_cell_length_a 10.202
_cell_length_b 8.227
_cell_length_c 6.301
_cell_angle_alpha 90.00
_cell_angle_beta 90.00
_cell_angle_gamma 90.00
loop_
_atom_site_label
_atom_site_type_symbol
_atom_site_fract_x
_atom_site_fract_y
_atom_site_fract_z
_atom_site_occupancy
Nd1 Nd 0.000 0.126 0.000 1
Nd2 Nd 0.000 0.859 0.490 1
Nd3 Nd 0.202 0.249 0.476 1
Te1 Te 0.000 0.750 0.998 1
Te2 Te 0.239 0.358 0.980 1
O1 O 0.000 0.135 0.365 1
```

***

[2]
Sc4Ru5: calculated X-ray powder pattern (CuKα), based on the GGA-PBE geometry in Alexandria.

Largest 10 diffraction maxima, low angle first, 10° ≤ 2θ ≤ 90°:
- (1 1 1), 3.208 Å, 2θ 27.81, intensity 29
- (2 1 1), 2.348 Å, 2θ 38.34, intensity 28
- (3 0 0), 2.296 Å, 2θ 39.23, intensity 95
- (1 1 2), 2.242 Å, 2θ 40.23, intensity 100
- (3 1 1), 1.802 Å, 2θ 50.65, intensity 9
- (2 2 2), 1.604 Å, 2θ 57.45, intensity 28
- (3 3 0), 1.326 Å, 2θ 71.11, intensity 9
- (4 1 2), 1.315 Å, 2θ 71.79, intensity 26
- (4 2 1), 1.266 Å, 2θ 75.03, intensity 8
- (3 0 4), 1.168 Å, 2θ 82.58, intensity 20

Structural model:
```
data_Sc4Ru5
_chemical_formula_sum 'Sc8 Ru10'
_space_group_name_H-M_alt 'P 63/m c m'
_space_group_IT_number 193
_space_group_name_Hall '-P 6c 2'
_cell_length_a 7.9545
_cell_length_b 7.9545
_cell_length_c 5.4279
_cell_angle_alpha 90.00
_cell_angle_beta 90.00
_cell_angle_gamma 120.00
loop_
_atom_site_label
_atom_site_type_symbol
_atom_site_fract_x
_atom_site_fract_y
_atom_site_fract_z
_atom_site_occupancy
Sc1 Sc 0.0000 0.0000 0.0000 1
Sc2 Sc 0.0000 0.3825 0.2500 1
Ru1 Ru 0.0000 0.2963 0.7500 1
Ru2 Ru 0.3333 0.6667 0.0000 1
```

***

[3]
Cs6Na: calculated X-ray powder pattern (CuKα), based on the GGA-PBE geometry in Alexandria.

Largest 10 diffraction maxima, low angle first, 10° ≤ 2θ ≤ 90°:
- (1 1 0), 4.854 Å, 2θ 18.28, intensity 19
- (0 0 2), 4.640 Å, 2θ 19.13, intensity 26
- (2 -1 1), 4.301 Å, 2θ 20.65, intensity 100
- (1 1 2), 3.354 Å, 2θ 26.58, intensity 21
- (3 0 0), 2.802 Å, 2θ 31.94, intensity 22
- (2 -1 3), 2.609 Å, 2θ 34.38, intensity 26
- (3 0 2), 2.399 Å, 2θ 37.49, intensity 24
- (2 2 1), 2.348 Å, 2θ 38.34, intensity 18
- (5 -1 1), 1.800 Å, 2θ 50.73, intensity 14
- (3 0 4), 1.787 Å, 2θ 51.11, intensity 11

Structural model:
```
data_Cs6Na
_chemical_formula_sum 'Cs6 Na1'
_space_group_name_H-M_alt 'P -3 1 m'
_space_group_IT_number 162
_space_group_name_Hall '-P 3 2'
_cell_length_a 9.7077
_cell_length_b 9.7077
_cell_length_c 9.2808
_cell_angle_alpha 90.00
_cell_angle_beta 90.00
_cell_angle_gamma 120.00
loop_
_atom_site_label
_atom_site_type_symbol
_atom_site_fract_x
_atom_site_fract_y
_atom_site_fract_z
_atom_site_occupancy
Cs1 Cs 0.0000 0.3552 0.2591 1
Na1 Na 0.0000 0.0000 0.0000 1
```

***

[4]
NbIr2OsRu4: calculated X-ray powder pattern (CuKα), based on the GGA-PBE geometry in Alexandria.

Largest 10 diffraction maxima, low angle first, 10° ≤ 2θ ≤ 90°:
- (2 2 0), 3.433 Å, 2θ 25.96, intensity 15
- (0 4 0), 2.557 Å, 2θ 35.09, intensity 63
- (0 0 2), 2.333 Å, 2θ 38.59, intensity 100
- (4 0 0), 2.315 Å, 2θ 38.90, intensity 49
- (0 4 2), 1.724 Å, 2θ 53.13, intensity 76
- (4 4 0), 1.716 Å, 2θ 53.38, intensity 38
- (4 0 2), 1.340 Å, 2θ 70.24, intensity 17
- (4 4 2), 1.187 Å, 2θ 81.00, intensity 23
- (0 0 4), 1.167 Å, 2θ 82.72, intensity 11
- (0 8 2), 1.121 Å, 2θ 86.86, intensity 17

Structural model:
```
data_NbIr2OsRu4
_chemical_formula_sum 'Nb4 Ir8 Os4 Ru16'
_space_group_name_H-M_alt 'C 1 2/c 1'
_space_group_IT_number 15
_space_group_name_Hall '-C 2yc'
_cell_length_a 10.721
_cell_length_b 10.230
_cell_length_c 5.403
_cell_angle_alpha 90.00
_cell_angle_beta 120.26
_cell_angle_gamma 90.00
loop_
_atom_site_label
_atom_site_type_symbol
_atom_site_fract_x
_atom_site_fract_y
_atom_site_fract_z
_atom_site_occupancy
Nb1 Nb 0.250 0.250 0.000 1
Ir1 Ir 0.000 0.000 0.000 1
Ir2 Ir 0.250 0.250 0.500 1
Os1 Os 0.000 0.500 0.000 1
Ru1 Ru 0.000 0.262 0.008 1
Ru2 Ru 0.248 0.012 0.497 1
```

***

[5]
SbP4O12: calculated X-ray powder pattern (CuKα), based on the GGA-PBE geometry in Alexandria.

Largest 10 diffraction maxima, low angle first, 10° ≤ 2θ ≤ 90°:
- (0 0 1), 7.320 Å, 2θ 12.09, intensity 71
- (0 2 0), 6.979 Å, 2θ 12.68, intensity 100
- (0 1 1), 6.483 Å, 2θ 13.66, intensity 22
- (1 0 -1), 4.813 Å, 2θ 18.44, intensity 18
- (1 2 0), 4.259 Å, 2θ 20.86, intensity 24
- (1 2 -1), 3.962 Å, 2θ 22.44, intensity 60
- (0 0 2), 3.660 Å, 2θ 24.32, intensity 25
- (1 2 1), 3.453 Å, 2θ 25.80, intensity 25
- (1 4 0), 2.927 Å, 2θ 30.54, intensity 32
- (1 4 -1), 2.825 Å, 2θ 31.67, intensity 19

Structural model:
```
data_SbP4O12
_chemical_formula_sum 'Sb2 P8 O24'
_space_group_name_H-M_alt 'P 1 21 1'
_space_group_IT_number 4
_space_group_name_Hall 'P 2yb'
_cell_length_a 5.486
_cell_length_b 13.958
_cell_length_c 7.469
_cell_angle_alpha 90.00
_cell_angle_beta 101.43
_cell_angle_gamma 90.00
loop_
_atom_site_label
_atom_site_type_symbol
_atom_site_fract_x
_atom_site_fract_y
_atom_site_fract_z
_atom_site_occupancy
Sb1 Sb 0.010 0.000 0.027 1
P1 P 0.294 0.587 0.362 1
P2 P 0.392 0.938 0.428 1
P3 P 0.480 0.361 0.918 1
P4 P 0.495 0.139 0.953 1
O1 O 0.127 0.508 0.254 1
O2 O 0.141 0.970 0.310 1
O3 O 0.183 0.679 0.396 1
O4 O 0.233 0.378 0.974 1
O5 O 0.252 0.124 0.016 1
O6 O 0.278 0.597 0.920 1
O7 O 0.300 0.914 0.968 1
O8 O 0.392 0.884 0.595 1
O9 O 0.443 0.536 0.543 1
O10 O 0.452 0.751 0.059 1
O11 O 0.455 0.381 0.708 1
O12 O 0.474 0.101 0.751 1
```